No. 1
Diffraction record for Pm8PdRh3I4. The powder diffraction line list is simulated, not measured: it uses a crystal structure in Alexandria, relaxed with GGA-PBE and copper Kα.

Main lines, in order of falling intensity (10 to 90 degrees two-theta):
| two_theta | Rel. int. | h k l |
| --- | --- | --- |
| 28.74 | 100 | 0 2 4 |
| 43.33 | 38 | 2 2 0 |
| 38.74 | 26 | 2 0 8 |
| 52.82 | 18 | 4 0 4 |
| 70.62 | 15 | 2 4 4 |
| 30.83 | 14 | 2 0 5 |
| 10.94 | 12 | 0 0 3 |
| 55.67 | 11 | 2 2 9 |
| 35.88 | 11 | 0 2 7 |
| 33.23 | 8 | 0 0 9 |

a = 8.3535 Å, b = 8.3535 Å, c = 24.2643 Å
α = 90.00°, β = 90.00°, γ = 120.00°
Space group R-3m (No. 166, hexagonal axes)
One atom of each set of equivalent atoms:
Pm  0.0000  0.0000  0.2287 [6 per cell]
Pm  0.0079  0.5040  0.7714 [18 per cell]
Pd  0.0000  0.0000  0.5000 [3 per cell]
Rh  0.0000  0.5000  0.5000 [9 per cell]
I  0.0000  0.0000  0.0000 [3 per cell]
I  0.0000  0.5000  0.0000 [9 per cell]

No. 2
Diffraction record for LiNi7H6. The powder diffraction line list is simulated, not measured: it uses a crystal structure in Alexandria, relaxed with GGA-PBE and copper Kα.

Main lines, in order of falling intensity (10 to 90 degrees two-theta):
| two_theta | Rel. int. | h k l |
| --- | --- | --- |
| 43.44 | 100 | 2 -1 3 |
| 50.48 | 67 | 1 1 6 |
| 14.05 | 42 | 0 0 3 |
| 43.05 | 32 | 0 0 9 |
| 73.90 | 19 | 2 -1 12 |
| 74.46 | 19 | 3 0 0 |
| 89.54 | 12 | 1 1 15 |
| 40.89 | 11 | 1 1 0 |
| 23.75 | 9 | 1 0 1 |
| 25.13 | 8 | 0 1 2 |

a = 4.4142 Å, b = 4.4142 Å, c = 18.9084 Å
α = 90.00°, β = 90.00°, γ = 120.00°
Space group R3 (No. 146, hexagonal axes)
One atom of each set of equivalent atoms:
Li  0.0000  0.0000  0.0000 [3 per cell]
Ni  0.0000  0.0000  0.6664 [3 per cell]
Ni  0.0003  0.6652  0.5545 [9 per cell]
Ni  0.0009  0.3323  0.1116 [9 per cell]
H  0.0191  0.3453  0.2699 [9 per cell]
H  0.0194  0.6740  0.3962 [9 per cell]

No. 3
Diffraction record for SrHfN2. The powder diffraction line list is simulated, not measured: it uses a crystal structure in Alexandria, relaxed with GGA-PBE and copper Kα.

Main lines, in order of falling intensity (10 to 90 degrees two-theta):
| two_theta | Rel. int. | h k l |
| --- | --- | --- |
| 30.92 | 100 | 1 0 2 |
| 31.30 | 61 | 1 1 0 |
| 10.69 | 50 | 0 0 1 |
| 55.47 | 41 | 2 1 2 |
| 44.85 | 27 | 2 0 0 |
| 54.76 | 17 | 1 1 4 |
| 39.54 | 17 | 1 0 3 |
| 74.00 | 12 | 3 0 2 |
| 74.20 | 10 | 3 1 0 |
| 61.31 | 9 | 2 1 3 |

a = 4.0417 Å, b = 4.0417 Å, c = 8.2793 Å
α = 90.00°, β = 90.00°, γ = 90.00°
Space group P4/nmm (No. 129, origin choice 2)
One atom of each set of equivalent atoms:
Sr  0.2500  0.2500  0.1419 [2 per cell]
Hf  0.2500  0.2500  0.5925 [2 per cell]
N  0.2500  0.2500  0.8348 [2 per cell]
N  0.2500  0.7500  0.5000 [2 per cell]

No. 4
Diffraction record for CuPIN2. The powder diffraction line list is simulated, not measured: it uses a crystal structure in Alexandria, relaxed with GGA-PBE and copper Kα.

Main lines, in order of falling intensity (10 to 90 degrees two-theta):
| two_theta | Rel. int. | h k l |
| --- | --- | --- |
| 12.03 | 100 | 0 0 1 |
| 24.19 | 81 | 0 0 2 |
| 38.31 | 53 | 1 1 1 |
| 44.04 | 39 | 1 1 2 |
| 36.23 | 33 | 1 1 0 |
| 58.30 | 25 | 2 0 2 |
| 52.47 | 20 | 1 1 3 |
| 52.17 | 18 | 2 0 0 |
| 25.40 | 17 | 1 0 0 |
| 35.36 | 13 | 1 0 2 |

a = 3.5065 Å, b = 3.5065 Å, c = 7.3597 Å
α = 90.00°, β = 90.00°, γ = 90.00°
Space group P4/mmm (No. 123)
One atom of each set of equivalent atoms:
Cu  0.0000  0.0000  0.0000 [1 per cell]
P  0.5000  0.5000  0.5000 [1 per cell]
I  0.5000  0.5000  0.0000 [1 per cell]
N  0.0000  0.5000  0.5000 [2 per cell]

No. 5
Diffraction record for Sm2Er3S6. The powder diffraction line list is simulated, not measured: it uses a crystal structure in Alexandria, relaxed with GGA-PBE and copper Kα.

Main lines, in order of falling intensity (10 to 90 degrees two-theta):
| two_theta | Rel. int. | h k l |
| --- | --- | --- |
| 32.29 | 100 | 1 3 1 |
| 27.91 | 51 | 2 0 0 |
| 46.22 | 36 | 2 0 2 |
| 46.36 | 24 | 3 3 -1 |
| 27.75 | 20 | 0 0 2 |
| 54.81 | 14 | 1 3 3 |
| 54.97 | 14 | 4 0 -2 |
| 57.74 | 12 | 2 6 -2 |
| 46.50 | 12 | 0 6 0 |
| 67.58 | 11 | 4 0 -4 |

a = 6.7908 Å, b = 11.7169 Å, c = 6.8107 Å
α = 90.00°, β = 109.33°, γ = 90.00°
Space group C2/m (No. 12)
One atom of each set of equivalent atoms:
Sm  0.0000  0.1653  0.0000 [4 per cell]
Er  0.0000  0.0000  0.5000 [2 per cell]
Er  0.0000  0.3365  0.5000 [4 per cell]
S  0.2442  0.5000  0.7432 [4 per cell]
S  0.2469  0.1660  0.7382 [8 per cell]

No. 6
Diffraction record for Ba19Na4Pd6. The powder diffraction line list is simulated, not measured: it uses a crystal structure in Alexandria, relaxed with GGA-PBE and copper Kα.

Main lines, in order of falling intensity (10 to 90 degrees two-theta):
| two_theta | Rel. int. | h k l |
| --- | --- | --- |
| 26.45 | 100 | 3 3 0 |
| 19.64 | 28 | 3 1 0 |
| 46.70 | 27 | 6 3 3 |
| 23.28 | 26 | 3 1 2 |
| 24.92 | 23 | 4 0 0 |
| 37.76 | 22 | 6 0 0 |
| 34.36 | 22 | 5 2 1 |
| 64.54 | 19 | 8 3 5 |
| 38.84 | 17 | 5 2 3 |
| 30.64 | 17 | 4 2 2 |

a = 14.2944 Å, b = 14.2944 Å, c = 14.2944 Å
α = 90.00°, β = 90.00°, γ = 90.00°
Space group I23 (No. 197)
One atom of each set of equivalent atoms:
Ba  0.0000  0.0000  0.0000 [2 per cell]
Ba  0.0000  0.0000  0.3604 [12 per cell]
Ba  0.0517  0.2869  0.6935 [24 per cell]
Na  0.1624  0.1624  0.1624 [8 per cell]
Pd  0.0000  0.1790  0.5000 [12 per cell]